Computed powder diffractogram
Compound: ThCuH6Pt
Radiation: λ = 1.5418 Å (Cu Kα)
Structure: a crystal structure in Alexandria, relaxed with GGA-PBE
Peak positions follow from Bragg's law for the DFT cell and can differ from measured ones.

Cell and atoms:
a = 4.5736 Å, b = 4.5736 Å, c = 4.4057 Å
α = 90.00°, β = 90.00°, γ = 120.00°
Space group P-6m2 (No. 187)
Asymmetric unit:
Th (0.0000, 0.0000, 0.0000) [1 per cell]
Cu (0.3333, 0.6667, 0.5000) [1 per cell]
H (0.0053, 0.5026, 0.2143) [6 per cell]
Pt (0.6667, 0.3333, 0.5000) [1 per cell]

Principal peaks in the range 15° ≤ 2θ ≤ 90°, most intense first:
two_theta	I (rel.)	hkl
30.35	1000	1 0 1
39.40	427	1 1 0
58.15	281	1 1 2
50.53	251	2 0 1
65.89	227	2 1 1
22.45	144	1 0 0
40.97	126	0 0 2
68.09	103	1 0 3
85.80	96	3 0 2
71.45	75	3 0 0
81.62	63	2 0 3
84.79	49	2 2 0

Computed powder diffractogram
Compound: Ac3SbPd8Pb2
Radiation: λ = 1.5418 Å (Cu Kα)
Structure: a crystal structure in Alexandria, relaxed with GGA-PBE
Peak positions follow from Bragg's law for the DFT cell and can differ from measured ones.

Cell and atoms:
a = 5.7590 Å, b = 5.7590 Å, c = 11.0633 Å
α = 90.00°, β = 90.00°, γ = 120.00°
Space group P-3m1 (No. 164)
Asymmetric unit:
Ac (0.0000, 0.0000, 0.0000) [1 per cell]
Ac (0.3333, 0.6667, 0.5875) [2 per cell]
Sb (0.0000, 0.0000, 0.5000) [1 per cell]
Pd (0.1647, 0.3295, 0.2945) [6 per cell]
Pd (0.3333, 0.6667, 0.8520) [2 per cell]
Pb (0.3333, 0.6667, 0.1004) [2 per cell]

Principal peaks in the range 15° ≤ 2θ ≤ 90°, most intense first:
two_theta	I (rel.)	hkl
37.17	1000	0 1 4
31.06	936	1 1 0
39.65	686	2 0 2
35.13	593	1 1 2
59.33	521	1 2 4
24.02	418	0 1 2
36.95	403	0 2 1
64.75	344	2 2 0
77.09	244	3 1 4
30.14	238	1 0 3
55.25	190	3 0 0
79.20	182	0 2 8

Computed powder diffractogram
Compound: Mn5Os3
Radiation: λ = 1.5418 Å (Cu Kα)
Structure: a crystal structure in Alexandria, relaxed with GGA-PBE
Peak positions follow from Bragg's law for the DFT cell and can differ from measured ones.

Cell and atoms:
a = 7.2944 Å, b = 7.4089 Å, c = 3.7357 Å
α = 90.00°, β = 90.00°, γ = 90.00°
Space group Cmmm (No. 65)
Asymmetric unit:
Mn (0.0000, 0.0000, 0.0000) [2 per cell]
Mn (0.2489, 0.0000, 0.5000) [4 per cell]
Mn (0.2500, 0.2500, 0.0000) [4 per cell]
Os (0.0000, 0.2439, 0.5000) [4 per cell]
Os (0.0000, 0.5000, 0.0000) [2 per cell]

Principal peaks in the range 15° ≤ 2θ ≤ 90°, most intense first:
two_theta	I (rel.)	hkl
42.37	1000	2 2 1
24.41	226	2 0 0
34.08	196	0 2 1
48.75	166	0 0 2
49.19	160	0 4 0
50.02	153	4 0 0
86.71	125	2 2 3
87.37	120	2 6 1
88.62	119	6 2 1
71.77	100	0 4 2
72.43	99	4 0 2
72.78	97	4 4 0

Computed powder diffractogram
Compound: CeAsS
Radiation: λ = 1.5418 Å (Cu Kα)
Structure: a crystal structure in Alexandria, relaxed with GGA-PBE
Peak positions follow from Bragg's law for the DFT cell and can differ from measured ones.

Cell and atoms:
a = 3.9415 Å, b = 3.9415 Å, c = 8.4435 Å
α = 90.00°, β = 90.00°, γ = 90.00°
Space group P4/nmm (No. 129, origin choice 2)
Asymmetric unit:
Ce (0.2500, 0.2500, 0.2115) [2 per cell]
As (0.2500, 0.7500, 0.5000) [2 per cell]
S (0.2500, 0.2500, 0.8665) [2 per cell]

Principal peaks in the range 15° ≤ 2θ ≤ 90°, most intense first:
two_theta	I (rel.)	hkl
38.71	1000	1 1 2
24.93	912	1 0 1
33.87	614	1 1 1
46.06	449	2 0 0
31.79	399	0 0 3
39.34	347	1 0 3
57.05	291	2 0 3
53.08	243	2 1 1
80.32	236	3 1 2
64.52	196	1 1 5
32.12	181	1 1 0
62.14	177	2 1 3

Computed powder diffractogram
Compound: TbYMg5
Radiation: λ = 1.5418 Å (Cu Kα)
Structure: a crystal structure in Alexandria, relaxed with GGA-PBE
Peak positions follow from Bragg's law for the DFT cell and can differ from measured ones.

Cell and atoms:
a = 6.4118 Å, b = 9.6741 Å, c = 6.5594 Å
α = 90.00°, β = 109.82°, γ = 90.00°
Space group C2/m (No. 12)
Asymmetric unit:
Tb (0.0000, 0.0000, 0.0000) [2 per cell]
Y (0.0000, 0.5000, 0.5000) [2 per cell]
Mg (0.0000, 0.5000, 0.0000) [2 per cell]
Mg (0.2047, 0.2119, 0.7236) [8 per cell]

Principal peaks in the range 15° ≤ 2θ ≤ 90°, most intense first:
two_theta	I (rel.)	hkl
19.08	1000	1 1 -1
34.48	758	0 2 2
25.61	758	1 1 1
35.06	687	2 2 0
32.49	575	1 3 -1
33.80	533	2 0 -2
18.34	460	0 2 0
37.18	263	0 4 0
53.34	231	1 5 1
51.11	206	2 4 -2
42.38	199	1 1 -3
59.58	183	3 3 -3

Computed powder diffractogram
Compound: Ti4NbTc2
Radiation: λ = 1.5418 Å (Cu Kα)
Structure: a crystal structure in Alexandria, relaxed with GGA-PBE
Peak positions follow from Bragg's law for the DFT cell and can differ from measured ones.

Cell and atoms:
a = 4.6809 Å, b = 4.6809 Å, c = 12.4075 Å
α = 90.00°, β = 90.00°, γ = 90.00°
Space group I4/mmm (No. 139)
Asymmetric unit:
Ti (0.0000, 0.0000, 0.2048) [4 per cell]
Ti (0.0000, 0.5000, 0.0000) [4 per cell]
Nb (0.0000, 0.0000, 0.0000) [2 per cell]
Tc (0.0000, 0.0000, 0.3775) [4 per cell]

Principal peaks in the range 15° ≤ 2θ ≤ 90°, most intense first:
two_theta	I (rel.)	hkl
38.46	1000	2 0 0
26.94	986	1 1 0
41.18	907	1 0 5
57.61	613	2 1 5
28.81	479	1 0 3
55.52	362	2 2 0
48.76	226	2 1 3
39.83	196	1 1 4
84.16	188	3 2 5
62.77	172	3 1 0
73.22	168	2 0 8
71.41	148	3 0 5

Computed powder diffractogram
Compound: ScAl3ZnCu
Radiation: λ = 1.5418 Å (Cu Kα)
Structure: a crystal structure in Alexandria, relaxed with GGA-PBE
Peak positions follow from Bragg's law for the DFT cell and can differ from measured ones.

Cell and atoms:
a = 6.3258 Å, b = 12.1322 Å, c = 5.5347 Å
α = 90.00°, β = 90.00°, γ = 90.00°
Space group Cmcm (No. 63)
Asymmetric unit:
Sc (0.0000, 0.1948, 0.2500) [4 per cell]
Al (0.0000, 0.3534, 0.7500) [4 per cell]
Al (0.2021, 0.0000, 0.0000) [8 per cell]
Zn (0.0000, 0.4106, 0.2500) [4 per cell]
Cu (0.0000, 0.1466, 0.7500) [4 per cell]

Principal peaks in the range 15° ≤ 2θ ≤ 90°, most intense first:
two_theta	I (rel.)	hkl
43.45	1000	2 0 2
28.21	717	2 0 0
21.74	536	0 2 1
41.24	476	2 4 0
32.35	444	0 0 2
44.31	431	0 4 2
43.15	390	1 5 1
35.90	313	2 2 1
39.79	298	1 5 0
42.06	243	1 3 2
73.90	236	1 9 1
31.91	202	2 2 0

Computed powder diffractogram
Compound: AcCe2CrN5
Radiation: λ = 1.5418 Å (Cu Kα)
Structure: a crystal structure in Alexandria, relaxed with GGA-PBE
Peak positions follow from Bragg's law for the DFT cell and can differ from measured ones.

Cell and atoms:
a = 6.7718 Å, b = 6.7718 Å, c = 11.2248 Å
α = 90.00°, β = 90.00°, γ = 90.00°
Space group I4/mcm (No. 140)
Asymmetric unit:
Ac (0.0000, 0.0000, 0.2500) [4 per cell]
Ce (0.1761, 0.3239, 0.0000) [8 per cell]
Cr (0.0000, 0.5000, 0.2500) [4 per cell]
N (0.0000, 0.0000, 0.0000) [4 per cell]
N (0.1416, 0.3584, 0.3530) [16 per cell]

Principal peaks in the range 15° ≤ 2θ ≤ 90°, most intense first:
two_theta	I (rel.)	hkl
30.84	1000	2 0 2
24.44	391	1 1 2
38.23	350	2 1 3
31.89	344	0 0 4
30.58	343	2 1 1
42.20	262	3 1 0
37.57	249	2 2 0
50.08	213	2 2 4
56.17	195	2 0 6
53.85	190	3 1 4
60.28	149	3 3 2
50.61	115	2 1 5